(1)
# Tb2Zr8O19
Theoretical XRD peak list, Cu Kα. Input: a GGA-PBE-relaxed structure.

Structural model:
```
data_Tb2Zr8O19
_chemical_formula_sum 'Tb2 Zr8 O19'
_space_group_name_H-M_alt 'P 1'
_space_group_IT_number 1
_space_group_name_Hall 'P 1'
_cell_length_a 3.648
_cell_length_b 3.648
_cell_length_c 25.772
_cell_angle_alpha 90.00
_cell_angle_beta 90.00
_cell_angle_gamma 90.00
loop_
_atom_site_label
_atom_site_fract_x
_atom_site_fract_y
_atom_site_fract_z
Tb1 0.000 0.500 0.057
Tb2 0.500 0.000 0.943
Zr1 0.000 0.500 0.252
Zr2 0.000 0.500 0.450
Zr3 0.000 0.500 0.649
Zr4 0.000 0.500 0.847
Zr5 0.500 0.000 0.153
Zr6 0.500 0.000 0.351
Zr7 0.500 0.000 0.550
Zr8 0.500 0.000 0.748
O1 0.000 0.000 0.000
O2 0.000 0.000 0.109
O3 0.000 0.000 0.208
O4 0.000 0.000 0.306
O5 0.000 0.000 0.403
O6 0.000 0.000 0.500
O7 0.000 0.000 0.597
O8 0.000 0.000 0.694
O9 0.000 0.000 0.792
O10 0.000 0.000 0.891
O11 0.500 0.500 0.098
O12 0.500 0.500 0.197
O13 0.500 0.500 0.298
O14 0.500 0.500 0.398
O15 0.500 0.500 0.500
O16 0.500 0.500 0.602
O17 0.500 0.500 0.702
O18 0.500 0.500 0.803
O19 0.500 0.500 0.902
```

The 12 most intense peaks (2θ from 5° to 70°), in order of rising 2θ:
- 6.86 deg, rel. 2
- 24.17 deg, rel. 1
- 25.38 deg, rel. 1
- 26.55 deg, rel. 2
- 28.11 deg, rel. 3
- 30.01 deg, rel. 100
- 34.79 deg, rel. 25
- 34.96 deg, rel. 1
- 47.44 deg, rel. 1
- 50.02 deg, rel. 55
- 59.44 deg, rel. 40
- 62.37 deg, rel. 7

---

(2)
# TbSiRh
Theoretical XRD peak list, Cu Kα. Input: a GGA-PBE-relaxed structure.

Structural model:
```
data_TbSiRh
_chemical_formula_sum 'Tb4 Si4 Rh4'
_space_group_name_H-M_alt 'P 1'
_space_group_IT_number 1
_space_group_name_Hall 'P 1'
_cell_length_a 5.337
_cell_length_b 4.034
_cell_length_c 10.283
_cell_angle_alpha 90.00
_cell_angle_beta 90.00
_cell_angle_gamma 90.00
loop_
_atom_site_label
_atom_site_fract_x
_atom_site_fract_y
_atom_site_fract_z
Tb1 0.248 0.250 0.038
Tb2 0.252 0.750 0.538
Tb3 0.748 0.250 0.462
Tb4 0.752 0.750 0.962
Si1 0.003 0.250 0.755
Si2 0.497 0.750 0.255
Si3 0.503 0.250 0.745
Si4 0.997 0.750 0.245
Rh1 0.237 0.250 0.323
Rh2 0.263 0.750 0.823
Rh3 0.737 0.250 0.177
Rh4 0.763 0.750 0.677
```

The 12 most intense peaks (2θ from 5° to 70°), in order of rising 2θ:
- 23.69 deg, rel. 37
- 29.07 deg, rel. 47
- 33.58 deg, rel. 39
- 34.33 deg, rel. 17
- 38.37 deg, rel. 100
- 38.88 deg, rel. 51
- 41.51 deg, rel. 41
- 44.94 deg, rel. 27
- 57.27 deg, rel. 24
- 60.90 deg, rel. 27
- 63.24 deg, rel. 22
- 67.90 deg, rel. 16

---

(3)
# La2MnSb4
Theoretical XRD peak list, Cu Kα. Input: a GGA-PBE-relaxed structure.

Structural model:
```
data_La2MnSb4
_chemical_formula_sum 'La2 Mn1 Sb4'
_space_group_name_H-M_alt 'P 1'
_space_group_IT_number 1
_space_group_name_Hall 'P 1'
_cell_length_a 4.478
_cell_length_b 4.478
_cell_length_c 10.234
_cell_angle_alpha 90.00
_cell_angle_beta 90.00
_cell_angle_gamma 90.00
loop_
_atom_site_label
_atom_site_fract_x
_atom_site_fract_y
_atom_site_fract_z
La1 0.000 0.500 0.249
La2 0.500 0.000 0.751
Mn1 0.000 0.000 0.500
Sb1 0.000 0.000 0.000
Sb2 0.000 0.500 0.641
Sb3 0.500 0.000 0.359
Sb4 0.500 0.500 0.000
```

The 12 most intense peaks (2θ from 5° to 70°), in order of rising 2θ:
- 26.12 deg, rel. 19
- 26.45 deg, rel. 29
- 29.53 deg, rel. 40
- 33.01 deg, rel. 40
- 33.28 deg, rel. 100
- 40.28 deg, rel. 51
- 48.64 deg, rel. 14
- 48.90 deg, rel. 33
- 53.03 deg, rel. 21
- 58.28 deg, rel. 17
- 65.17 deg, rel. 21
- 68.79 deg, rel. 23

---

(4)
# NdBrO
Theoretical XRD peak list, Cu Kα. Input: a GGA-PBE-relaxed structure.

Structural model:
```
data_NdBrO
_chemical_formula_sum 'Nd2 Br2 O2'
_space_group_name_H-M_alt 'P 1'
_space_group_IT_number 1
_space_group_name_Hall 'P 1'
_cell_length_a 4.019
_cell_length_b 4.019
_cell_length_c 8.499
_cell_angle_alpha 90.00
_cell_angle_beta 90.00
_cell_angle_gamma 90.00
loop_
_atom_site_label
_atom_site_fract_x
_atom_site_fract_y
_atom_site_fract_z
Nd1 0.250 0.250 0.142
Nd2 0.750 0.750 0.858
Br1 0.250 0.250 0.665
Br2 0.750 0.750 0.335
O1 0.250 0.750 0.000
O2 0.750 0.250 0.000
```

The 12 most intense peaks (2θ from 5° to 70°), in order of rising 2θ:
- 10.41 deg, rel. 30
- 24.50 deg, rel. 6
- 30.62 deg, rel. 100
- 31.48 deg, rel. 45
- 38.09 deg, rel. 9
- 45.13 deg, rel. 25
- 48.46 deg, rel. 10
- 53.88 deg, rel. 16
- 55.51 deg, rel. 37
- 63.76 deg, rel. 9
- 65.72 deg, rel. 7
- 68.36 deg, rel. 7

---

(5)
# NaSc3
Theoretical XRD peak list, Cu Kα. Input: a GGA-PBE-relaxed structure.

Structural model:
```
data_NaSc3
_chemical_formula_sum 'Na2 Sc6'
_space_group_name_H-M_alt 'P 1'
_space_group_IT_number 1
_space_group_name_Hall 'P 1'
_cell_length_a 4.675
_cell_length_b 4.675
_cell_length_c 9.637
_cell_angle_alpha 90.00
_cell_angle_beta 90.00
_cell_angle_gamma 90.00
loop_
_atom_site_label
_atom_site_fract_x
_atom_site_fract_y
_atom_site_fract_z
Na1 0.000 0.000 0.000
Na2 0.500 0.500 0.500
Sc1 0.000 0.000 0.500
Sc2 0.000 0.500 0.250
Sc3 0.000 0.500 0.750
Sc4 0.500 0.000 0.250
Sc5 0.500 0.000 0.750
Sc6 0.500 0.500 0.000
```

The 12 most intense peaks (2θ from 5° to 70°), in order of rising 2θ:
- 18.41 deg, rel. 2
- 21.12 deg, rel. 6
- 26.97 deg, rel. 1
- 32.86 deg, rel. 100
- 33.86 deg, rel. 1
- 37.33 deg, rel. 17
- 38.52 deg, rel. 31
- 54.72 deg, rel. 20
- 55.61 deg, rel. 10
- 64.51 deg, rel. 12
- 66.12 deg, rel. 22
- 68.90 deg, rel. 9

---

(6)
# CuS
Theoretical XRD peak list, Cu Kα. Input: a GGA-PBE-relaxed structure.

Structural model:
```
data_CuS
_chemical_formula_sum 'Cu6 S6'
_space_group_name_H-M_alt 'P 1'
_space_group_IT_number 1
_space_group_name_Hall 'P 1'
_cell_length_a 3.803
_cell_length_b 3.803
_cell_length_c 16.421
_cell_angle_alpha 90.00
_cell_angle_beta 90.00
_cell_angle_gamma 120.24
loop_
_atom_site_label
_atom_site_fract_x
_atom_site_fract_y
_atom_site_fract_z
Cu1 0.138 0.862 0.750
Cu2 0.164 0.836 0.107
Cu3 0.164 0.836 0.393
Cu4 0.836 0.164 0.607
Cu5 0.836 0.164 0.893
Cu6 0.862 0.138 0.250
S1 0.194 0.806 0.250
S2 0.498 0.502 0.064
S3 0.498 0.502 0.436
S4 0.502 0.498 0.564
S5 0.502 0.498 0.936
S6 0.806 0.194 0.750
```

The 12 most intense peaks (2θ from 5° to 70°), in order of rising 2θ:
- 27.69 deg, rel. 14
- 29.26 deg, rel. 43
- 31.73 deg, rel. 100
- 32.72 deg, rel. 45
- 38.73 deg, rel. 11
- 47.62 deg, rel. 13
- 47.84 deg, rel. 44
- 48.02 deg, rel. 24
- 52.56 deg, rel. 28
- 58.68 deg, rel. 13
- 59.16 deg, rel. 26
- 59.33 deg, rel. 14

---

(7)
# Sr2MgOsO6
Theoretical XRD peak list, Cu Kα. Input: a GGA-PBE-relaxed structure.

Structural model:
```
data_Sr2MgOsO6
_chemical_formula_sum 'Sr2 Mg1 Os1 O6'
_space_group_name_H-M_alt 'P 1'
_space_group_IT_number 1
_space_group_name_Hall 'P 1'
_cell_length_a 5.630
_cell_length_b 5.630
_cell_length_c 5.630
_cell_angle_alpha 120.17
_cell_angle_beta 120.17
_cell_angle_gamma 89.70
loop_
_atom_site_label
_atom_site_fract_x
_atom_site_fract_y
_atom_site_fract_z
Sr1 0.250 0.750 0.500
Sr2 0.750 0.250 0.500
Mg1 0.000 0.000 0.000
Os1 0.500 0.500 0.000
O1 0.236 0.721 0.958
O2 0.257 0.257 0.000
O3 0.279 0.236 0.515
O4 0.721 0.764 0.485
O5 0.743 0.743 0.000
O6 0.764 0.279 0.042
```

The 12 most intense peaks (2θ from 5° to 70°), in order of rising 2θ:
- 19.32 deg, rel. 48
- 31.82 deg, rel. 100
- 37.40 deg, rel. 9
- 37.54 deg, rel. 17
- 45.45 deg, rel. 11
- 45.69 deg, rel. 22
- 49.93 deg, rel. 7
- 56.58 deg, rel. 14
- 56.74 deg, rel. 27
- 60.57 deg, rel. 5
- 66.42 deg, rel. 13
- 66.61 deg, rel. 7

---

(8)
# Sn2ClF3
Theoretical XRD peak list, Cu Kα. Input: a GGA-PBE-relaxed structure.

Structural model:
```
data_Sn2ClF3
_chemical_formula_sum 'Sn8 Cl4 F12'
_space_group_name_H-M_alt 'P 1'
_space_group_IT_number 1
_space_group_name_Hall 'P 1'
_cell_length_a 7.993
_cell_length_b 7.993
_cell_length_c 7.993
_cell_angle_alpha 90.00
_cell_angle_beta 90.00
_cell_angle_gamma 90.00
loop_
_atom_site_label
_atom_site_fract_x
_atom_site_fract_y
_atom_site_fract_z
Sn1 0.067 0.433 0.567
Sn2 0.103 0.897 0.397
Sn3 0.397 0.103 0.897
Sn4 0.433 0.567 0.067
Sn5 0.567 0.067 0.433
Sn6 0.603 0.603 0.603
Sn7 0.897 0.397 0.103
Sn8 0.933 0.933 0.933
Cl1 0.236 0.736 0.764
Cl2 0.264 0.264 0.264
Cl3 0.736 0.764 0.236
Cl4 0.764 0.236 0.736
F1 0.119 0.872 0.129
F2 0.128 0.629 0.381
F3 0.129 0.119 0.872
F4 0.371 0.881 0.372
F5 0.372 0.371 0.881
F6 0.381 0.128 0.629
F7 0.619 0.628 0.871
F8 0.628 0.871 0.619
F9 0.629 0.381 0.128
F10 0.871 0.619 0.628
F11 0.872 0.129 0.119
F12 0.881 0.372 0.371
```

The 12 most intense peaks (2θ from 5° to 70°), in order of rising 2θ:
- 19.23 deg, rel. 13
- 24.91 deg, rel. 100
- 27.33 deg, rel. 36
- 31.66 deg, rel. 18
- 33.64 deg, rel. 20
- 37.31 deg, rel. 35
- 42.31 deg, rel. 46
- 46.87 deg, rel. 17
- 48.31 deg, rel. 16
- 52.46 deg, rel. 17
- 58.92 deg, rel. 26
- 62.59 deg, rel. 18

---

(9)
# CuC2N2Cl4
Theoretical XRD peak list, Cu Kα. Input: a GGA-PBE-relaxed structure.

Structural model:
```
data_CuC2N2Cl4
_chemical_formula_sum 'Cu2 C4 N4 Cl8'
_space_group_name_H-M_alt 'P 1'
_space_group_IT_number 1
_space_group_name_Hall 'P 1'
_cell_length_a 9.558
_cell_length_b 7.867
_cell_length_c 7.799
_cell_angle_alpha 90.00
_cell_angle_beta 113.23
_cell_angle_gamma 90.00
loop_
_atom_site_label
_atom_site_fract_x
_atom_site_fract_y
_atom_site_fract_z
Cu1 0.000 0.000 0.000
Cu2 0.000 0.500 0.500
C1 0.373 0.025 0.687
C2 0.373 0.475 0.187
C3 0.627 0.525 0.813
C4 0.627 0.975 0.313
N1 0.244 0.516 0.119
N2 0.244 0.984 0.619
N3 0.756 0.016 0.381
N4 0.756 0.484 0.881
Cl1 0.021 0.189 0.817
Cl2 0.021 0.311 0.317
Cl3 0.242 0.523 0.626
Cl4 0.242 0.977 0.126
Cl5 0.758 0.023 0.874
Cl6 0.758 0.477 0.374
Cl7 0.979 0.689 0.683
Cl8 0.979 0.811 0.183
```

The 12 most intense peaks (2θ from 5° to 70°), in order of rising 2θ:
- 10.07 deg, rel. 100
- 16.73 deg, rel. 39
- 16.84 deg, rel. 38
- 21.97 deg, rel. 11
- 22.21 deg, rel. 9
- 22.60 deg, rel. 18
- 22.81 deg, rel. 18
- 30.49 deg, rel. 8
- 30.53 deg, rel. 8
- 32.33 deg, rel. 37
- 41.11 deg, rel. 8
- 52.08 deg, rel. 9

---

What did the second record say?
# TbSiRh
Theoretical XRD peak list, Cu Kα. Input: a GGA-PBE-relaxed structure.

Structural model:
```
data_TbSiRh
_chemical_formula_sum 'Tb4 Si4 Rh4'
_space_group_name_H-M_alt 'P 1'
_space_group_IT_number 1
_space_group_name_Hall 'P 1'
_cell_length_a 5.337
_cell_length_b 4.034
_cell_length_c 10.283
_cell_angle_alpha 90.00
_cell_angle_beta 90.00
_cell_angle_gamma 90.00
loop_
_atom_site_label
_atom_site_fract_x
_atom_site_fract_y
_atom_site_fract_z
Tb1 0.248 0.250 0.038
Tb2 0.252 0.750 0.538
Tb3 0.748 0.250 0.462
Tb4 0.752 0.750 0.962
Si1 0.003 0.250 0.755
Si2 0.497 0.750 0.255
Si3 0.503 0.250 0.745
Si4 0.997 0.750 0.245
Rh1 0.237 0.250 0.323
Rh2 0.263 0.750 0.823
Rh3 0.737 0.250 0.177
Rh4 0.763 0.750 0.677
```

The 12 most intense peaks (2θ from 5° to 70°), in order of rising 2θ:
- 23.69 deg, rel. 37
- 29.07 deg, rel. 47
- 33.58 deg, rel. 39
- 34.33 deg, rel. 17
- 38.37 deg, rel. 100
- 38.88 deg, rel. 51
- 41.51 deg, rel. 41
- 44.94 deg, rel. 27
- 57.27 deg, rel. 24
- 60.90 deg, rel. 27
- 63.24 deg, rel. 22
- 67.90 deg, rel. 16

---

> Which formula does entry 8 have?

Sn2ClF3

---

What did the sixth record say?
# CuS
Theoretical XRD peak list, Cu Kα. Input: a GGA-PBE-relaxed structure.

Structural model:
```
data_CuS
_chemical_formula_sum 'Cu6 S6'
_space_group_name_H-M_alt 'P 1'
_space_group_IT_number 1
_space_group_name_Hall 'P 1'
_cell_length_a 3.803
_cell_length_b 3.803
_cell_length_c 16.421
_cell_angle_alpha 90.00
_cell_angle_beta 90.00
_cell_angle_gamma 120.24
loop_
_atom_site_label
_atom_site_fract_x
_atom_site_fract_y
_atom_site_fract_z
Cu1 0.138 0.862 0.750
Cu2 0.164 0.836 0.107
Cu3 0.164 0.836 0.393
Cu4 0.836 0.164 0.607
Cu5 0.836 0.164 0.893
Cu6 0.862 0.138 0.250
S1 0.194 0.806 0.250
S2 0.498 0.502 0.064
S3 0.498 0.502 0.436
S4 0.502 0.498 0.564
S5 0.502 0.498 0.936
S6 0.806 0.194 0.750
```

The 12 most intense peaks (2θ from 5° to 70°), in order of rising 2θ:
- 27.69 deg, rel. 14
- 29.26 deg, rel. 43
- 31.73 deg, rel. 100
- 32.72 deg, rel. 45
- 38.73 deg, rel. 11
- 47.62 deg, rel. 13
- 47.84 deg, rel. 44
- 48.02 deg, rel. 24
- 52.56 deg, rel. 28
- 58.68 deg, rel. 13
- 59.16 deg, rel. 26
- 59.33 deg, rel. 14